Starting from DFT lattice parameters and positions (GGA-PBE), the powder diffractogram of Dy4Tl2Pb was calculated for Cu Kα (λ = 1.5418 Å).

Crystal structure
Cell lengths 8.1062, 8.1062, 8.1062 Å; angles 109.57, 109.57, 109.28 degrees
Positions (direct):
Dy1 0.1239 0.0191 0.7497
Dy2 0.1242 0.5194 0.7503
Dy3 0.2694 0.3742 0.2503
Dy4 0.4806 0.2309 0.6048
Dy5 0.6261 0.8758 0.3952
Dy6 0.6258 0.8761 0.8952
Dy7 0.7691 0.3739 0.2497
Dy8 0.9809 0.7306 0.1048
Tl1 0.3750 0.0029 0.1279
Tl2 0.7529 0.6250 0.6279
Tl3 0.8750 0.2471 0.8721
Tl4 0.9971 0.1250 0.3721
Pb1 0.2500 0.7500 0.5000
Pb2 0.5000 0.5000 0.0000

The 12 most intense peaks (2θ from 5° to 70°), sorted by position:
2θ 23.28, I = 9; 2θ 30.19, I = 100; 2θ 35.90, I = 66; 2θ 43.20, I = 11; 2θ 45.45, I = 13; 2θ 47.59, I = 14; 2θ 49.61, I = 7; 2θ 49.69, I = 13; 2θ 60.91, I = 9; 2θ 61.08, I = 20; 2θ 62.86, I = 8; 2θ 64.48, I = 9

***

Starting from DFT lattice parameters and positions (GGA-PBE), the powder diffractogram of Dy2Tl3Pb3 was calculated for Cu Kα (λ = 1.5418 Å).

Crystal structure
Cell lengths 4.7075, 4.9783, 9.6000 Å; angles 90.00, 90.00, 90.00 degrees
Positions (direct):
Dy1 0.0000 0.0000 0.2484
Dy2 0.0000 0.0000 0.7516
Tl1 0.0000 0.5000 0.0000
Tl2 0.5000 0.5000 0.2466
Tl3 0.5000 0.5000 0.7534
Pb1 0.0000 0.5000 0.5000
Pb2 0.5000 0.0000 0.0000
Pb3 0.5000 0.0000 0.5000

The 11 most intense peaks (2θ from 5° to 70°), sorted by position:
2θ 32.13, I = 100; 2θ 36.08, I = 18; 2θ 37.47, I = 17; 2θ 38.24, I = 16; 2θ 53.00, I = 12; 2θ 53.59, I = 12; 2θ 54.61, I = 11; 2θ 62.41, I = 15; 2θ 64.27, I = 14; 2θ 65.31, I = 13; 2θ 67.22, I = 12